The following is a calculated powder diffraction line list of Ca12InCu5. It was derived from a crystal structure in Alexandria, relaxed with PBE, using a wavelength of 1.5418 Å.
Lines closer than 0.1° are merged.

Most intense lines, 2θ from 10° to 90°, low angle first:
2θ (°), intensity
16.4, 27.1
18.1, 41.1
30.4, 100.0
32.1, 66.6
32.9, 79.4
33.6, 40.5
33.8, 29.1
35.5, 21.8
36.7, 38.1
57.1, 26.5

Structural model:
```
18
Lattice="-4.8983 4.9900 5.4182 4.8983 -4.9900 5.4182 4.8983 4.9900 -5.4182" Properties=species:S:1:pos:R:3 pbc="T T T"
Ca 4.8983 3.0749 -2.8903
Ca 2.7768 1.8308 0.0000
Ca 7.0199 1.8308 0.0000
Ca 1.9448 4.9900 -1.8797
Ca 2.9535 0.0000 3.5385
Ca 0.0000 1.9151 2.5279
Ca 4.8983 3.0749 2.8903
Ca 1.9448 4.9900 1.8797
Ca 2.9535 0.0000 7.2979
Ca -2.1216 3.1592 5.4182
Ca 2.1216 3.1592 5.4182
Ca 0.0000 1.9151 8.3085
In 0.0000 0.0000 5.4182
Cu 0.0000 0.0000 0.0000
Cu 4.8983 0.0000 1.2455
Cu 0.0000 3.6684 0.0000
Cu 0.0000 6.3116 0.0000
Cu 0.0000 4.9900 4.1727
```